Entry 1:
This entry pairs a crystal structure of Ho12AlNi6 with its simulated X-ray diffraction stick pattern. Radiation: a wavelength of 1.5418 Å. Structure: a structure optimized by DFT (GGA-PBE).
Intensities are scaled so that the largest is 100.

Cell and atoms:
Cell: 8.328 8.328 8.328 Å, 109.47 109.47 109.47°
Positions (direct):
Ho1 0.115 0.813 0.301
Ho2 0.187 0.301 0.488
Ho3 0.187 0.699 0.885
Ho4 0.301 0.115 0.813
Ho5 0.301 0.488 0.187
Ho6 0.488 0.187 0.301
Ho7 0.512 0.813 0.699
Ho8 0.699 0.512 0.813
Ho9 0.699 0.885 0.187
Ho10 0.813 0.301 0.115
Ho11 0.813 0.699 0.512
Ho12 0.885 0.187 0.699
Al1 0.000 0.000 0.000
Ni1 0.124 0.624 0.500
Ni2 0.376 0.500 0.876
Ni3 0.500 0.124 0.624
Ni4 0.500 0.876 0.376
Ni5 0.624 0.500 0.124
Ni6 0.876 0.376 0.500

Peak list (10 most intense, 10 to 80 degrees two-theta, most intense first)
d [Å], 2θ (°), intensity
2.570, 34.91, 100.0
3.041, 29.37, 42.3
1.649, 55.74, 38.0
2.776, 32.25, 37.4
1.560, 59.23, 34.0
1.886, 48.26, 17.2
1.360, 69.07, 16.5
3.400, 26.21, 15.2
2.404, 37.41, 14.2
1.603, 57.50, 13.4

=====

Entry 2:
This entry pairs a crystal structure of CsSrZnS2 with its simulated X-ray diffraction stick pattern. Radiation: a wavelength of 1.5418 Å. Structure: a structure optimized by DFT (GGA-PBE).
Intensities are scaled so that the largest is 100.

Cell and atoms:
Cell: 7.980 5.223 8.745 Å, 90.00 100.26 90.00°
Positions (direct):
Cs1 0.000 0.173 0.250
Cs2 0.000 0.827 0.750
Sr1 0.500 0.492 0.750
Sr2 0.500 0.508 0.250
Zn1 0.500 0.000 0.000
Zn2 0.500 0.000 0.500
S1 0.286 0.297 0.967
S2 0.286 0.703 0.467
S3 0.714 0.297 0.533
S4 0.714 0.703 0.033

Peak list (10 most intense, 10 to 80 degrees two-theta, most intense first)
d [Å], 2θ (°), intensity
3.736, 23.82, 100.0
3.222, 27.69, 85.7
3.926, 22.65, 82.9
2.918, 30.64, 76.1
2.513, 35.74, 47.1
2.478, 36.25, 46.5
4.093, 21.71, 43.6
4.465, 19.88, 40.7
3.094, 28.86, 39.7
2.209, 40.86, 38.3

=====

Entry 3:
This entry pairs a crystal structure of Pr5Sm6Tm2 with its simulated X-ray diffraction stick pattern. Radiation: a wavelength of 1.5418 Å. Structure: a structure optimized by DFT (GGA-PBE).
Intensities are scaled so that the largest is 100.

Cell and atoms:
Cell: 11.781 20.936 3.648 Å, 90.00 90.00 90.00°
Positions (direct):
Pr1 0.000 0.000 0.000
Pr2 0.085 0.273 0.000
Pr3 0.197 0.554 0.000
Pr4 0.303 0.054 0.000
Pr5 0.415 0.773 0.000
Pr6 0.500 0.500 0.000
Pr7 0.585 0.227 0.000
Pr8 0.697 0.946 0.000
Pr9 0.803 0.446 0.000
Pr10 0.915 0.727 0.000
Sm1 0.063 0.419 0.500
Sm2 0.082 0.132 0.500
Sm3 0.174 0.860 0.000
Sm4 0.326 0.360 0.000
Sm5 0.418 0.632 0.500
Sm6 0.437 0.919 0.500
Sm7 0.563 0.081 0.500
Sm8 0.582 0.368 0.500
Sm9 0.674 0.640 0.000
Sm10 0.826 0.140 0.000
Sm11 0.918 0.868 0.500
Sm12 0.937 0.581 0.500
Tm1 0.171 0.710 0.500
Tm2 0.329 0.210 0.500
Tm3 0.671 0.790 0.500
Tm4 0.829 0.290 0.500

Peak list (10 most intense, 10 to 80 degrees two-theta, most intense first)
d [Å], 2θ (°), intensity
2.900, 30.83, 100.0
2.834, 31.56, 86.5
2.917, 30.65, 51.7
2.495, 35.99, 37.0
2.668, 33.59, 36.2
1.824, 50.00, 18.1
1.547, 59.80, 16.1
1.544, 59.91, 15.6
2.608, 34.38, 14.4
2.864, 31.23, 13.3